No. 1
The following is a theoretical powder X-ray diffraction pattern of PrHfO14. It was derived from a cell relaxed with PBE, using Cu Ka.
Lines closer than 0.1° are merged.

Atomic structure:
a b c (Å): 10.788 10.788 10.788
angles (deg): 90.00 90.00 90.00
Space group Fd-3m (No. 227, origin choice 2)
Symmetry-distinct sites (fractional):
1 Pr 0.125 0.125 0.125
2 Hf 0.125 0.125 0.625
3 O 0.000 0.000 0.000
4 O 0.025 0.025 0.355

Main lines, by angle (2θ from 10° to 80°):
2θ = 23.32°, rel. 100.0; 2θ = 40.99°, rel. 72.7; 2θ = 47.69°, rel. 17.2; 2θ = 53.74°, rel. 29.7; 2θ = 64.66°, rel. 24.5; 2θ = 74.66°, rel. 17.8



No. 2
The following is a theoretical powder X-ray diffraction pattern of La4Au2O9. It was derived from a cell relaxed with PBE, using Cu Ka.
Lines closer than 0.1° are merged.

Atomic structure:
a b c (Å): 12.206 6.379 12.197
angles (deg): 90.00 90.00 90.00
Space group Pbcn (No. 60)
Symmetry-distinct sites (fractional):
1 La 0.010 0.243 0.089
2 La 0.160 0.197 0.763
3 Au 0.230 0.422 0.511
4 O 0.000 0.023 0.250
5 O 0.080 0.393 0.586
6 O 0.116 0.058 0.947
7 O 0.165 0.444 0.354
8 O 0.198 0.121 0.158

Main lines, by angle (2θ from 10° to 80°):
2θ = 14.52°, rel. 39.6; 2θ = 27.01°, rel. 100.0; 2θ = 29.87°, rel. 55.1; 2θ = 31.65°, rel. 28.4; 2θ = 32.83°, rel. 74.8; 2θ = 34.99°, rel. 32.9



No. 3
The following is a theoretical powder X-ray diffraction pattern of Ag3Ge. It was derived from a cell relaxed with PBE, using Cu Ka.
Lines closer than 0.1° are merged.

Atomic structure:
a b c (Å): 6.634 6.634 6.634
angles (deg): 90.00 90.00 90.00
Space group Fm-3m (No. 225)
Symmetry-distinct sites (fractional):
1 Ag 0.000 0.000 0.000
2 Ag 0.250 0.250 0.250
3 Ge 0.000 0.000 0.500

Main lines, by angle (2θ from 10° to 80°):
2θ = 23.22°, rel. 2.0; 2θ = 26.88°, rel. 1.1; 2θ = 38.38°, rel. 100.0; 2θ = 45.34°, rel. 1.0; 2θ = 55.40°, rel. 16.4; 2θ = 69.41°, rel. 32.4



No. 4
The following is a theoretical powder X-ray diffraction pattern of PuTe2O6. It was derived from a cell relaxed with PBE, using Cu Ka.
Lines closer than 0.1° are merged.

Atomic structure:
a b c (Å): 7.030 11.307 8.517
angles (deg): 90.00 123.95 90.00
Space group P2_1/c (No. 14)
Symmetry-distinct sites (fractional):
1 Pu 0.233 0.090 0.492
2 Te 0.235 0.082 0.961
3 Te 0.309 0.724 0.071
4 O 0.026 0.020 0.204
5 O 0.061 0.225 0.877
6 O 0.110 0.595 0.041
7 O 0.366 0.099 0.816
8 O 0.477 0.741 0.339
9 O 0.499 0.597 0.084

Main lines, by angle (2θ from 10° to 80°):
2θ = 14.79°, rel. 32.0; 2θ = 25.21°, rel. 53.4; 2θ = 26.64°, rel. 60.1; 2θ = 28.19°, rel. 100.0; 2θ = 31.72°, rel. 56.3; 2θ = 45.59°, rel. 36.5



No. 5
The following is a theoretical powder X-ray diffraction pattern of HoCu. It was derived from a cell relaxed with PBE, using Cu Ka.
Lines closer than 0.1° are merged.

Atomic structure:
a b c (Å): 3.448 3.448 3.448
angles (deg): 90.00 90.00 90.00
Space group Pm-3m (No. 221)
Symmetry-distinct sites (fractional):
1 Ho 0.000 0.000 0.000
2 Cu 0.500 0.500 0.500

Main lines, by angle (2θ from 10° to 80°):
2θ = 25.84°, rel. 20.1; 2θ = 36.86°, rel. 100.0; 2θ = 53.12°, rel. 17.3; 2θ = 59.99°, rel. 8.5; 2θ = 66.41°, rel. 34.7; 2θ = 78.45°, rel. 10.7



No. 6
The following is a theoretical powder X-ray diffraction pattern of K4Ge23. It was derived from a cell relaxed with PBE, using Cu Ka.
Lines closer than 0.1° are merged.

Atomic structure:
a b c (Å): 11.103 11.103 11.103
angles (deg): 90.00 90.00 90.00
Space group Pm-3n (No. 223)
Symmetry-distinct sites (fractional):
1 K 0.000 0.000 0.000
2 K 0.000 0.250 0.500
3 Ge 0.000 0.306 0.119
4 Ge 0.000 0.500 0.250
5 Ge 0.184 0.184 0.184

Main lines, by angle (2θ from 10° to 80°):
2θ = 17.86°, rel. 31.7; 2θ = 27.83°, rel. 32.8; 2θ = 29.00°, rel. 34.7; 2θ = 30.12°, rel. 100.0; 2θ = 47.76°, rel. 73.4; 2θ = 50.68°, rel. 54.9